# GaAu2
Theoretical X-ray powder pattern, Cu Kα. Input: a GGA-PBE-relaxed structure.

```
GaAu2
1.0
4.866 0.000 0.000
0.000 3.939 0.000
-2.249 0.000 5.852
Ga Au
2 4
direct
0.109 0.250 0.228
0.891 0.750 0.772
0.254 0.750 0.549
0.394 0.750 0.117
0.606 0.250 0.883
0.746 0.250 0.451
```

Top 10 peaks for 2θ from 10° to 80°, sorted by position:
2θ = 28.88°, rel. 19; 2θ = 29.80°, rel. 18; 2θ = 30.03°, rel. 89; 2θ = 36.97°, rel. 57; 2θ = 37.71°, rel. 100; 2θ = 38.32°, rel. 53; 2θ = 40.62°, rel. 33; 2θ = 42.32°, rel. 25; 2θ = 43.75°, rel. 21; 2θ = 46.11°, rel. 69

# GaAu
Theoretical X-ray powder pattern, Cu Kα. Input: a GGA-PBE-relaxed structure.

```
GaAu
1.0
-2.685 2.687 2.572
2.685 -2.687 2.572
2.685 2.687 -2.572
Ga Au
2 2
direct
0.377 0.127 0.250
0.623 0.873 0.750
0.123 0.373 0.750
0.877 0.627 0.250
```

Top 10 peaks for 2θ from 10° to 80°, sorted by position:
2θ = 23.95°, rel. 45; 2θ = 33.36°, rel. 97; 2θ = 41.48°, rel. 23; 2θ = 42.45°, rel. 100; 2θ = 47.89°, rel. 35; 2θ = 65.19°, rel. 6; 2θ = 65.89°, rel. 54; 2θ = 67.07°, rel. 6; 2θ = 70.06°, rel. 11; 2θ = 79.85°, rel. 16

# Gd2GaAu
Theoretical X-ray powder pattern, Cu Kα. Input: a GGA-PBE-relaxed structure.

```
Gd2GaAu
1.0
3.589 0.000 0.000
0.000 3.589 0.000
0.000 0.000 7.447
Gd Ga Au
2 1 1
direct
0.000 0.000 0.250
0.000 0.000 0.750
0.500 0.500 0.000
0.500 0.500 0.500
```

Top 10 peaks for 2θ from 10° to 80°, sorted by position:
2θ = 11.88°, rel. 13; 2θ = 27.59°, rel. 8; 2θ = 34.72°, rel. 100; 2θ = 35.37°, rel. 48; 2θ = 48.92°, rel. 10; 2θ = 50.89°, rel. 17; 2θ = 61.80°, rel. 19; 2θ = 63.07°, rel. 36; 2θ = 73.27°, rel. 11; 2θ = 74.83°, rel. 5

# GaGeAu14
Theoretical X-ray powder pattern, Cu Kα. Input: a GGA-PBE-relaxed structure.

```
GaGeAu14
1.0
9.472 0.000 0.000
0.000 2.989 5.111
0.000 -2.989 5.111
Ga Ge Au
1 1 14
direct
0.000 0.000 0.000
0.000 0.503 0.503
0.000 0.499 0.998
0.000 0.998 0.499
0.243 0.171 0.674
0.243 0.674 0.171
0.248 0.170 0.170
0.252 0.671 0.671
0.500 0.004 0.004
0.500 0.006 0.503
0.500 0.503 0.006
0.500 0.503 0.503
0.748 0.671 0.671
0.752 0.170 0.170
0.757 0.171 0.674
0.757 0.674 0.171
```

Top 10 peaks for 2θ from 10° to 80°, sorted by position:
2θ = 34.77°, rel. 23; 2θ = 35.11°, rel. 13; 2θ = 38.00°, rel. 37; 2θ = 39.79°, rel. 100; 2θ = 40.09°, rel. 46; 2θ = 52.45°, rel. 14; 2θ = 62.78°, rel. 17; 2θ = 69.85°, rel. 19; 2θ = 75.79°, rel. 20; 2θ = 76.54°, rel. 14

# GaGeAu
Theoretical X-ray powder pattern, Cu Kα. Input: a GGA-PBE-relaxed structure.

```
GaGeAu
1.0
5.855 0.000 0.000
0.000 3.292 0.000
-0.283 0.000 6.385
Ga Ge Au
2 2 2
direct
0.180 0.000 0.127
0.820 0.000 0.873
0.332 0.500 0.621
0.668 0.500 0.379
0.000 0.000 0.500
0.500 0.500 0.000
```

Top 10 peaks for 2θ from 10° to 80°, sorted by position:
2θ = 20.13°, rel. 43; 2θ = 21.05°, rel. 41; 2θ = 27.95°, rel. 37; 2θ = 30.56°, rel. 22; 2θ = 31.17°, rel. 100; 2θ = 41.87°, rel. 26; 2θ = 42.84°, rel. 36; 2θ = 43.29°, rel. 40; 2θ = 44.23°, rel. 36; 2θ = 51.10°, rel. 32

# GaGeAu
Theoretical X-ray powder pattern, Cu Kα. Input: a GGA-PBE-relaxed structure.

```
GaGeAu
1.0
3.294 0.000 0.000
0.010 6.254 0.000
0.001 2.792 5.928
Ga Ge Au
2 2 2
direct
0.000 0.000 0.000
0.499 0.411 0.919
0.497 0.794 0.562
0.997 0.617 0.356
0.499 0.162 0.661
0.999 0.248 0.258
```

Top 10 peaks for 2θ from 10° to 80°, sorted by position:
2θ = 15.66°, rel. 82; 2θ = 28.59°, rel. 33; 2θ = 31.06°, rel. 100; 2θ = 33.18°, rel. 20; 2θ = 37.88°, rel. 65; 2θ = 39.78°, rel. 19; 2θ = 39.90°, rel. 27; 2θ = 43.31°, rel. 76; 2θ = 43.73°, rel. 27; 2θ = 56.20°, rel. 21

# GaGeHAu2
Theoretical X-ray powder pattern, Cu Kα. Input: a GGA-PBE-relaxed structure.

```
GaGeHAu2
1.0
4.917 0.000 0.000
0.000 4.917 0.000
0.000 0.000 5.231
Ga Ge H Au
1 1 1 2
direct
0.000 0.000 0.000
0.000 0.000 0.500
0.500 0.500 0.000
0.000 0.500 0.500
0.500 0.000 0.500
```

Top 10 peaks for 2θ from 10° to 80°, sorted by position:
2θ = 16.95°, rel. 100; 2θ = 18.04°, rel. 25; 2θ = 25.62°, rel. 29; 2θ = 30.88°, rel. 97; 2θ = 34.29°, rel. 35; 2θ = 36.55°, rel. 59; 2θ = 40.55°, rel. 47; 2θ = 50.98°, rel. 46; 2θ = 62.30°, rel. 27; 2θ = 64.35°, rel. 23

# GaGeAu2S4
Theoretical X-ray powder pattern, Cu Kα. Input: a GGA-PBE-relaxed structure.

```
GaGeAu2S4
1.0
-2.862 2.862 5.583
2.862 -2.862 5.583
2.862 2.862 -5.583
Ga Ge Au S
1 1 2 4
direct
0.000 0.000 0.000
0.750 0.250 0.500
0.250 0.750 0.500
0.500 0.500 0.000
0.111 0.640 0.992
0.360 0.352 0.471
0.648 0.119 0.008
0.881 0.889 0.529
```

Top 10 peaks for 2θ from 10° to 80°, sorted by position:
2θ = 17.41°, rel. 24; 2θ = 27.21°, rel. 100; 2θ = 28.61°, rel. 9; 2θ = 31.25°, rel. 19; 2θ = 35.99°, rel. 10; 2θ = 44.78°, rel. 19; 2θ = 45.38°, rel. 36; 2θ = 53.19°, rel. 31; 2θ = 54.25°, rel. 15; 2θ = 72.89°, rel. 12